Record 1
Starting from DFT lattice parameters and positions (GGA+U), the X-ray diffraction stick pattern of Li2MnVP2H2O10 was computed for Cu Ka.
Intensities are scaled so that the largest is 100.

Atomic structure:
```
Li2MnVP2H2O10
1.0
6.9559 0.0000 0.0000
-0.1023 7.4957 0.0000
-0.2162 -3.5538 7.0103
Li Mn V P H O
4 2 2 4 4 20
Cartesian
0.0000 0.0000 0.0000
1.0048 -1.0304 6.8271
3.3370 1.9344 3.5156
4.5550 4.4844 3.3557
3.8396 1.4413 6.9275
5.7699 2.2296 1.6805
0.5019 -0.5223 3.4315
2.1150 4.2013 5.1845
1.5972 4.1534 1.9589
2.9950 0.3363 1.3845
5.0037 -1.3984 5.4581
6.2668 2.2925 4.9077
1.8444 1.7384 5.3006
2.4914 -0.8203 5.0440
5.4801 -0.1912 1.7959
6.0443 4.6408 1.5566
0.1697 3.5720 5.0482
0.2406 1.0700 4.6989
0.6618 5.3711 2.1496
0.7531 2.8617 1.8055
1.6575 -1.3569 4.9582
1.9980 0.4696 0.1802
2.2150 0.2672 2.7320
2.3798 4.2201 0.6057
2.5775 4.0078 3.1637
2.6702 2.2833 5.3648
3.8330 1.6335 1.5133
3.8201 6.6128 1.2120
4.0798 -0.1762 5.6502
4.1474 -2.6834 5.3375
5.2154 4.0949 1.4976
5.2575 2.4532 3.7498
5.5227 2.2173 6.2909
5.7439 -1.3227 4.0797
6.0273 -1.5514 6.6136
6.3180 0.3457 1.8694
```

Most intense lines, 2θ from 10° to 90°, sorted by position:
2θ (°), I/Imax, h k l
18.31, 38, 1 0 1
18.68, 49, 1 1 0
26.40, 77, 1 -1 2
26.89, 100, 1 -2 1
29.02, 85, 2 1 -1
35.77, 42, -1 1 2

Record 2
Starting from DFT lattice parameters and positions (GGA+U), the X-ray diffraction stick pattern of Li2MnVP2H2O10 was computed for Cu Ka.
Intensities are scaled so that the largest is 100.

Atomic structure:
```
Li2MnVP2H2O10
1.0
6.8746 0.0000 0.0000
-3.3335 6.5145 0.0000
-0.4491 -0.6528 8.1211
Li Mn V P H O
4 2 2 4 4 20
Cartesian
-0.6818 2.0089 1.4368
0.5427 4.1751 2.6221
2.5493 1.6866 5.4990
3.7739 3.8528 6.6843
-1.8913 2.9309 4.0605
1.7706 3.2573 0.0000
-0.2246 -0.3264 4.0605
3.4373 0.0000 0.0000
-2.3902 4.6647 1.2536
2.2458 1.5235 2.8063
0.8463 4.3382 5.3148
5.4822 1.1971 6.8674
-1.6103 5.0165 5.2779
1.0586 0.4928 6.9000
2.0335 5.3690 1.2211
4.7024 0.8452 2.8432
-0.4491 0.3096 6.0065
-2.4490 4.6223 4.9088
-1.3864 3.8830 2.1247
-1.6743 5.4797 0.1441
-0.5163 2.2164 7.6702
-0.0211 3.3394 4.4885
1.5252 0.6779 3.9054
1.2467 2.3134 1.9377
1.8887 0.8806 7.2962
-0.0942 5.2238 6.1773
3.1862 0.6380 1.9437
1.2033 4.9811 0.8249
1.8454 3.5484 6.1834
1.5669 5.1839 4.2156
3.1132 2.5224 3.6325
3.6083 3.6453 0.4509
4.7663 0.3820 7.9770
4.4785 1.9787 5.9963
5.5410 1.2395 3.2123
3.5412 5.5522 2.1145
```

Most intense lines, 2θ from 10° to 90°, sorted by position:
2θ (°), I/Imax, h k l
18.93, 46, 1 0 1
24.91, 41, 0 1 -2
26.43, 81, 1 -2 1
27.22, 100, -1 2 1
29.29, 88, 2 0 0
35.11, 61, 1 0 -3

Record 3
Starting from DFT lattice parameters and positions (GGA+U), the X-ray diffraction stick pattern of LiMnVP2H2O10 was computed for Cu Ka.
Intensities are scaled so that the largest is 100.

Atomic structure:
```
LiMnVP2H2O10
1.0
5.2785 0.0000 0.0000
-0.9832 5.2490 0.0000
-1.7245 -2.9338 6.5197
Li Mn V P H O
1 1 1 2 2 10
Cartesian
0.0000 0.0000 0.0000
-1.5689 -0.1789 5.5500
1.4626 3.8777 2.3445
1.0534 1.1024 4.0924
2.8084 1.4220 0.5667
-0.7503 3.2538 1.2903
-0.6025 -0.9237 3.4090
0.0594 3.6442 0.8606
-0.2719 -1.6734 6.4261
-0.1139 0.9540 5.0815
1.0940 -0.1603 3.1645
0.7487 2.3544 3.1929
3.1857 0.1317 1.3755
2.8451 2.6860 1.4911
2.2622 -1.3842 6.0772
2.3526 1.3100 4.8552
3.7550 -1.0351 3.7564
```

Most intense lines, 2θ from 10° to 90°, sorted by position:
2θ (°), I/Imax, h k l
17.93, 48, 0 1 -1
18.07, 43, 1 0 0
18.78, 54, 1 0 -1
26.02, 100, 1 0 1
27.27, 91, 0 1 1
29.76, 70, 1 1 -2

Record 4
Starting from DFT lattice parameters and positions (GGA+U), the X-ray diffraction stick pattern of Li2MnVP2H2O10 was computed for Cu Ka.
Intensities are scaled so that the largest is 100.

Atomic structure:
```
Li2MnVP2H2O10
1.0
5.1772 0.0000 0.0000
-1.9548 7.1511 0.0000
-1.3653 -2.6638 9.8531
Li Mn V P H O
4 2 2 4 4 20
Cartesian
0.0000 0.0000 0.0000
-0.3333 4.9939 0.6450
0.8772 2.1982 4.9249
2.5205 -0.0183 5.6492
-1.8481 4.6829 5.2771
2.1975 2.2558 7.7440
1.2254 -0.0204 2.8025
2.4042 2.4653 0.3186
-0.3656 0.2743 7.0826
-0.3999 4.2184 8.4007
1.9040 5.1993 2.1558
3.7630 1.9398 3.4199
-1.9540 0.4673 9.0706
0.2162 1.8095 1.4339
0.3149 5.2980 4.1646
1.1759 4.0592 6.4059
-1.8990 5.8095 1.7204
-0.8215 -0.9344 6.2079
-1.5123 1.3174 6.8457
-0.2884 0.9062 3.6824
-0.9889 3.1292 4.3307
-1.7516 3.6595 8.8932
-0.3025 -0.0788 8.5884
1.0090 1.2543 1.2256
-0.4866 5.8581 4.3998
-0.4080 4.5735 6.9062
0.9606 0.8627 6.5668
1.5125 4.0117 1.2249
0.7867 6.2413 1.8698
0.7233 3.1546 8.6789
1.9955 -1.7184 9.2836
2.4098 1.3197 3.8844
1.8921 4.8060 3.6365
1.9629 3.4803 6.1575
2.4538 1.0512 9.3091
3.7297 2.3246 1.9239
```

Most intense lines, 2θ from 10° to 90°, sorted by position:
2θ (°), I/Imax, h k l
18.56, 35, 1 0 -1
18.80, 45, 1 -1 0
26.72, 75, 1 1 -2
26.85, 100, 0 1 -3
29.25, 86, -1 2 1
35.20, 57, 1 1 2

Record 5
Starting from DFT lattice parameters and positions (GGA+U), the X-ray diffraction stick pattern of LiMnVP2H2O10 was computed for Cu Ka.
Intensities are scaled so that the largest is 100.

Atomic structure:
```
LiMnVP2H2O10
1.0
5.1727 0.0000 0.0000
-0.3671 5.3014 0.0000
-2.2024 -2.4663 6.5652
Li Mn V P H O
1 1 1 2 2 10
Cartesian
0.0000 0.0000 0.0000
-0.2286 2.6428 0.1403
1.4403 -1.2407 3.4022
0.1353 1.2865 5.0967
2.3827 1.5296 1.7169
-1.5813 -0.9746 4.5669
4.0952 3.8847 2.2244
-0.1580 3.9775 1.8820
-1.2114 1.4341 5.8501
1.2073 1.4452 0.7114
0.1312 -0.0682 4.3417
0.2169 2.4879 4.1291
2.3045 0.3358 2.6959
2.3750 2.8879 2.4657
1.3139 1.3670 6.0981
3.7303 1.3778 0.9671
2.6887 -1.1480 4.9273
```

Most intense lines, 2θ from 10° to 90°, sorted by position:
2θ (°), I/Imax, h k l
18.24, 68, 0 1 -1
18.69, 38, 1 0 -1
26.04, 84, 0 1 1
26.28, 100, 1 0 1
26.94, 57, -1 1 1
28.94, 83, 1 1 -2

Record 6
Starting from DFT lattice parameters and positions (GGA+U), the X-ray diffraction stick pattern of LiMnVP2H2O10 was computed for Cu Ka.
Intensities are scaled so that the largest is 100.

Atomic structure:
```
LiMnVP2H2O10
1.0
6.7913 0.0000 0.0000
3.3351 6.5650 0.0000
0.1694 0.6534 8.1037
Li Mn V P H O
2 2 2 4 4 20
Cartesian
2.8803 2.5072 2.5460
7.4155 4.7112 5.5576
1.6676 3.2825 0.0000
5.1479 3.6092 4.0518
0.0847 0.3267 4.0518
3.3956 0.0000 0.0000
2.4624 2.2181 5.3536
4.5216 5.3399 6.7994
5.7741 1.8785 1.3043
7.8333 5.0003 2.7500
1.4531 1.1033 1.1983
5.2361 5.7102 2.7488
5.0596 1.5082 5.3549
8.8427 6.1151 6.9053
1.4895 3.0275 6.1971
3.5685 6.2559 5.9547
1.7324 1.3537 4.2726
2.2893 1.4963 0.8114
3.6496 4.3475 7.5944
3.3308 3.1716 4.4713
4.5210 5.4042 3.3693
5.3116 6.2381 7.8179
3.4192 1.3258 6.2046
5.5211 4.6055 5.9173
4.7746 2.6130 2.1863
6.8766 5.8926 1.8991
4.9842 0.9803 0.2857
5.7748 1.8142 4.7343
6.9650 4.0468 3.6324
6.6462 2.8709 0.5093
8.0065 5.7221 7.2922
8.5634 5.8647 3.8310
6.7273 0.9625 2.1490
8.8063 4.1909 1.9066
```

Most intense lines, 2θ from 10° to 90°, sorted by position:
2θ (°), I/Imax, h k l
17.90, 48, 1 1 1
18.13, 48, 1 0 -1
18.89, 56, 1 1 -1
25.97, 100, -1 1 1
27.12, 100, 1 -1 1
29.78, 74, 2 2 0

Record 7
Starting from DFT lattice parameters and positions (GGA+U), the X-ray diffraction stick pattern of Li2MnVP2H2O10 was computed for Cu Ka.
Intensities are scaled so that the largest is 100.

Atomic structure:
```
Li2MnVP2H2O10
1.0
5.1641 0.0000 0.0000
-0.9173 5.4218 0.0000
-2.3871 -2.0553 19.5680
Li Mn V P H O
6 3 3 6 6 30
Cartesian
0.0000 0.0000 0.0000
-1.4843 3.2133 8.7740
-0.1711 0.4063 12.9789
1.6341 0.2927 2.2248
2.0307 2.9140 6.4535
1.4945 0.6921 15.2896
-0.7632 1.6127 4.3492
0.3623 2.8637 1.0990
2.2114 -0.8982 10.8748
-0.8876 2.0145 17.4199
0.2160 3.2616 14.1297
3.3134 0.3496 7.6138
-1.3855 -0.7958 15.6718
-0.2304 4.3783 6.0880
0.7694 1.7484 9.1357
0.5175 -0.6079 19.1332
2.9681 4.2871 2.6292
2.7441 1.8709 12.6212
-0.7972 -0.1214 9.8421
-0.8598 3.7528 11.9024
1.4128 2.3911 3.2791
2.2619 0.8284 5.3902
1.2586 2.7496 16.3504
2.0903 1.2775 18.5010
-1.5947 4.2389 6.8414
-0.8468 4.4874 1.9079
-1.7833 0.5205 16.3979
-2.2522 3.4089 16.6235
-2.2701 1.7098 18.9040
-1.3099 2.0434 13.6967
-0.3478 1.5704 8.0672
0.6081 1.9444 2.8696
0.1487 3.0214 5.4119
0.6909 0.1394 5.1126
1.5650 1.2251 0.2895
-0.0346 -0.6190 14.9082
0.7573 0.5746 10.1211
0.3836 3.1043 9.8015
0.8629 -1.2307 12.3147
0.8971 4.5459 7.1456
1.8527 4.0852 1.5435
0.4531 2.3411 15.9397
0.4730 0.6161 18.1838
0.9642 -1.9052 18.3935
1.3711 1.7279 13.3597
2.1417 1.8810 8.3935
3.4500 0.1994 3.3286
2.9672 3.0970 3.5998
3.0601 1.2722 5.8077
4.0359 1.6615 0.6249
2.6426 -0.9667 14.6325
3.5628 -0.5624 9.4295
3.1290 0.5150 11.9500
2.7494 3.0478 11.6390
```

Most intense lines, 2θ from 10° to 90°, sorted by position:
2θ (°), I/Imax, h k l
18.71, 78, 1 0 1
25.85, 33, 0 1 4
26.71, 100, 0 1 -5
26.86, 73, 1 0 -5
29.18, 84, 1 1 2
35.27, 58, -1 2 1

Record 8
Starting from DFT lattice parameters and positions (GGA+U), the X-ray diffraction stick pattern of Li2MnVP2H2O10 was computed for Cu Ka.
Intensities are scaled so that the largest is 100.

Atomic structure:
```
Li2MnVP2H2O10
1.0
5.4692 0.0000 0.0000
-2.5704 6.9563 0.0000
-1.1884 -3.3705 9.5841
Li Mn V P H O
4 2 2 4 4 20
Cartesian
0.0000 0.0000 0.0000
0.0157 2.6852 0.7679
0.8887 1.7742 4.7900
0.8943 4.5243 5.5307
-0.8314 5.7397 2.7877
2.7528 1.3593 0.3804
-1.8512 3.1414 5.1502
2.5686 0.5391 7.5559
-0.8853 0.7227 3.0496
-0.2384 -1.3981 7.2966
-0.0975 2.5195 7.8288
1.8107 3.7734 2.4881
-0.4571 5.9445 0.2670
1.3741 -1.4029 5.2744
2.9498 0.7376 5.0441
3.3944 3.7263 0.5050
-2.7973 4.1735 6.5876
-0.8829 2.1220 3.7429
-0.2319 -1.5913 8.8235
0.4916 0.1251 3.5029
-1.2969 1.6776 8.3162
1.8129 -0.3180 0.9167
-0.8939 4.8657 4.6198
-0.1495 2.7216 6.2785
0.9712 -0.5583 6.8137
0.4190 4.3669 2.1054
1.7938 2.3745 1.8023
-0.0897 3.9141 8.5141
1.2670 1.9000 8.2515
1.9075 3.5650 4.0402
3.4043 -0.1035 3.5741
2.6621 1.4299 5.7088
2.5071 -0.3440 9.4359
2.9773 4.6094 1.9553
4.5460 0.9146 1.5186
3.8775 -0.7789 6.8221
```

Most intense lines, 2θ from 10° to 90°, sorted by position:
2θ (°), I/Imax, h k l
18.52, 36, 0 0 2
18.75, 46, 0 1 1
26.68, 75, 0 1 -3
26.83, 100, 1 1 -2
29.23, 84, -1 2 1
35.37, 43, 2 -1 1